Entry 1:
Starting from a GGA-PBE-relaxed structure, the powder diffraction line list of CsAgSe4 was simulated for Cu Ka.
Intensities are scaled so that the largest is 100.

Cell and atoms:
```
CsAgSe4
1.0
5.909 0.000 0.000
0.000 9.417 0.000
0.000 0.000 14.437
Cs Ag Se
4 4 16
direct
0.176 0.062 0.332
0.324 0.938 0.832
0.676 0.438 0.668
0.824 0.562 0.168
0.044 0.127 0.059
0.456 0.873 0.559
0.544 0.373 0.941
0.956 0.627 0.441
0.085 0.581 0.931
0.121 0.700 0.606
0.144 0.372 0.837
0.196 0.868 0.095
0.304 0.132 0.595
0.356 0.628 0.337
0.379 0.300 0.106
0.415 0.419 0.431
0.585 0.919 0.069
0.621 0.800 0.394
0.644 0.128 0.163
0.696 0.632 0.905
0.804 0.368 0.405
0.856 0.872 0.663
0.879 0.200 0.894
0.915 0.081 0.569
```

Principal peaks in the range 10 to 90 degrees two-theta, low angle first:
2θ = 11.22°, intensity 30
2θ = 15.47°, intensity 30
2θ = 24.17°, intensity 46
2θ = 24.67°, intensity 45
2θ = 24.95°, intensity 38
2θ = 26.45°, intensity 81
2θ = 27.19°, intensity 78
2θ = 28.99°, intensity 51
2θ = 30.56°, intensity 100
2θ = 32.36°, intensity 81
2θ = 41.05°, intensity 40
2θ = 48.15°, intensity 41



Entry 2:
Starting from a GGA-PBE-relaxed structure, the powder diffraction line list of CsSmAgSe2 was simulated for Cu Ka.
Intensities are scaled so that the largest is 100.

Cell and atoms:
```
CsSmAgSe2
1.0
8.358 0.000 0.000
0.000 5.053 0.000
-0.958 0.000 8.313
Cs Sm Ag Se
2 2 2 4
direct
0.000 0.107 0.250
0.000 0.893 0.750
0.500 0.496 0.750
0.500 0.504 0.250
0.500 0.000 0.000
0.500 0.000 0.500
0.271 0.386 0.975
0.271 0.614 0.475
0.729 0.386 0.525
0.729 0.614 0.025
```

Principal peaks in the range 10 to 90 degrees two-theta, low angle first:
2θ = 10.66°, intensity 90
2θ = 20.58°, intensity 49
2θ = 21.40°, intensity 46
2θ = 23.79°, intensity 45
2θ = 28.60°, intensity 35
2θ = 28.92°, intensity 85
2θ = 30.74°, intensity 100
2θ = 33.75°, intensity 35
2θ = 36.88°, intensity 32
2θ = 41.14°, intensity 58
2θ = 43.58°, intensity 68
2θ = 45.11°, intensity 32



Entry 3:
Starting from a GGA-PBE-relaxed structure, the powder diffraction line list of CsTaAgSe4 was simulated for Cu Ka.
Intensities are scaled so that the largest is 100.

Cell and atoms:
```
CsTaAgSe4
1.0
6.208 0.000 0.000
0.000 7.879 0.000
-2.841 0.000 10.048
Cs Ta Ag Se
2 2 2 8
direct
0.150 0.250 0.352
0.850 0.750 0.648
0.373 0.750 0.233
0.627 0.250 0.767
0.133 0.250 0.774
0.867 0.750 0.226
0.064 0.750 0.033
0.235 0.750 0.431
0.407 0.504 0.765
0.407 0.996 0.765
0.593 0.004 0.235
0.593 0.496 0.235
0.765 0.250 0.569
0.936 0.250 0.967
```

Principal peaks in the range 10 to 90 degrees two-theta, low angle first:
2θ = 14.29°, intensity 100
2θ = 17.65°, intensity 72
2θ = 22.57°, intensity 58
2θ = 26.10°, intensity 36
2θ = 26.74°, intensity 26
2θ = 27.24°, intensity 34
2θ = 32.04°, intensity 32
2θ = 32.47°, intensity 30
2θ = 40.79°, intensity 54
2θ = 41.51°, intensity 41
2θ = 46.06°, intensity 37
2θ = 52.85°, intensity 26



Entry 4:
Starting from a GGA-PBE-relaxed structure, the powder diffraction line list of CsTbAgSe3 was simulated for Cu Ka.
Intensities are scaled so that the largest is 100.

Cell and atoms:
```
CsTbAgSe3
1.0
2.094 -8.280 0.000
2.094 8.280 0.000
0.000 0.000 10.899
Cs Tb Ag Se
2 2 2 6
direct
0.248 0.752 0.750
0.752 0.248 0.250
0.500 0.500 0.000
0.500 0.500 0.500
0.035 0.965 0.250
0.965 0.035 0.750
0.118 0.882 0.047
0.118 0.882 0.453
0.435 0.565 0.250
0.565 0.435 0.750
0.882 0.118 0.547
0.882 0.118 0.953
```

Principal peaks in the range 10 to 90 degrees two-theta, low angle first:
2θ = 10.69°, intensity 94
2θ = 19.50°, intensity 25
2θ = 26.75°, intensity 33
2θ = 27.97°, intensity 100
2θ = 31.44°, intensity 67
2θ = 32.87°, intensity 50
2θ = 36.53°, intensity 36
2θ = 38.39°, intensity 59
2θ = 43.21°, intensity 32
2θ = 49.98°, intensity 32
2θ = 50.97°, intensity 27
2θ = 55.33°, intensity 22



Entry 5:
Starting from a GGA-PBE-relaxed structure, the powder diffraction line list of Cs2ThAgSe4 was simulated for Cu Ka.
Intensities are scaled so that the largest is 100.

Cell and atoms:
```
Cs2ThAgSe4
1.0
6.029 -6.179 0.000
6.029 6.179 0.000
-3.593 0.000 7.991
Cs Th Ag Se
4 2 2 8
direct
0.000 0.000 0.000
0.000 0.000 0.500
0.000 0.500 0.000
0.500 0.000 0.500
0.500 0.500 0.000
0.500 0.500 0.500
0.000 0.500 0.500
0.500 0.000 0.000
0.212 0.666 0.431
0.286 0.356 0.650
0.334 0.788 0.069
0.356 0.286 0.150
0.644 0.714 0.850
0.666 0.212 0.931
0.714 0.644 0.350
0.788 0.334 0.569
```

Principal peaks in the range 10 to 90 degrees two-theta, low angle first:
2θ = 10.77°, intensity 76
2θ = 21.63°, intensity 77
2θ = 22.25°, intensity 100
2θ = 25.91°, intensity 43
2θ = 28.90°, intensity 86
2θ = 31.02°, intensity 92
2θ = 32.58°, intensity 35
2θ = 35.83°, intensity 77
2θ = 36.77°, intensity 55
2θ = 42.90°, intensity 54
2θ = 43.91°, intensity 35
2θ = 52.04°, intensity 33